No. 1
This entry pairs a crystal structure of Nd12In3Cu with its simulated powder diffraction line list. Radiation: copper Kα. Structure: a GGA-PBE-relaxed structure.

Top 6 peaks for 2θ from 10° to 90°, sorted by position:
d 2.860, 2θ = 31.3°, I 100; d 2.488, 2θ = 36.1°, I 35; d 2.457, 2θ = 36.6°, I 16; d 1.759, 2θ = 52.0°, I 12; d 1.748, 2θ = 52.3°, I 22; d 1.498, 2θ = 61.9°, I 28

Crystal structure
Lattice parameters (Å, degrees): 4.975 4.975 19.652 90.00 90.00 90.00
Element x y z (fractional)
Nd  0.000  0.000  0.000
Nd  0.000  0.000  0.243
Nd  0.000  0.000  0.500
Nd  0.000  0.000  0.757
Nd  0.000  0.500  0.118
Nd  0.000  0.500  0.372
Nd  0.000  0.500  0.628
Nd  0.000  0.500  0.882
Nd  0.500  0.000  0.118
Nd  0.500  0.000  0.372
Nd  0.500  0.000  0.628
Nd  0.500  0.000  0.882
In  0.500  0.500  0.245
In  0.500  0.500  0.500
In  0.500  0.500  0.755
Cu  0.500  0.500  0.000

=====

No. 2
This entry pairs a crystal structure of NdInCuPt3 with its simulated powder diffraction line list. Radiation: copper Kα. Structure: a GGA-PBE-relaxed structure.

Top 6 peaks for 2θ from 10° to 90°, sorted by position:
d 4.278, 2θ = 20.8°, I 61; d 2.700, 2θ = 33.2°, I 77; d 2.651, 2θ = 33.8°, I 73; d 2.084, 2θ = 43.4°, I 42; d 2.014, 2θ = 45.0°, I 35; d 1.992, 2θ = 45.5°, I 100

Crystal structure
Lattice parameters (Å, degrees): 8.999 8.999 5.691 90.00 90.00 143.89
Element x y z (fractional)
Nd  0.195  0.805  0.750
Nd  0.805  0.195  0.250
In  0.101  0.899  0.250
In  0.899  0.101  0.750
Cu  0.400  0.600  0.250
Cu  0.600  0.400  0.750
Pt  0.256  0.744  0.250
Pt  0.261  0.261  0.000
Pt  0.261  0.261  0.500
Pt  0.739  0.739  0.000
Pt  0.739  0.739  0.500
Pt  0.744  0.256  0.750

=====

No. 3
This entry pairs a crystal structure of In2Cu2Ni15 with its simulated powder diffraction line list. Radiation: copper Kα. Structure: a GGA-PBE-relaxed structure.

Top 6 peaks for 2θ from 10° to 90°, sorted by position:
d 2.358, 2θ = 38.2°, I 26; d 2.308, 2θ = 39.0°, I 18; d 2.041, 2θ = 44.4°, I 100; d 2.031, 2θ = 44.6°, I 21; d 2.008, 2θ = 45.1°, I 18; d 1.825, 2θ = 50.0°, I 26

Crystal structure
Lattice parameters (Å, degrees): 6.224 6.224 6.224 82.03 82.03 82.03
Element x y z (fractional)
In  0.156  0.156  0.156
In  0.844  0.844  0.844
Cu  0.401  0.401  0.401
Cu  0.599  0.599  0.599
Ni  0.000  0.500  0.500
Ni  0.153  0.153  0.657
Ni  0.153  0.657  0.153
Ni  0.197  0.500  0.803
Ni  0.197  0.803  0.500
Ni  0.343  0.847  0.847
Ni  0.500  0.000  0.500
Ni  0.500  0.197  0.803
Ni  0.500  0.500  0.000
Ni  0.500  0.803  0.197
Ni  0.657  0.153  0.153
Ni  0.803  0.197  0.500
Ni  0.803  0.500  0.197
Ni  0.847  0.343  0.847
Ni  0.847  0.847  0.343

=====

Copy entry 2 word for word.
This entry pairs a crystal structure of NdInCuPt3 with its simulated powder diffraction line list. Radiation: copper Kα. Structure: a GGA-PBE-relaxed structure.

Top 6 peaks for 2θ from 10° to 90°, sorted by position:
d 4.278, 2θ = 20.8°, I 61; d 2.700, 2θ = 33.2°, I 77; d 2.651, 2θ = 33.8°, I 73; d 2.084, 2θ = 43.4°, I 42; d 2.014, 2θ = 45.0°, I 35; d 1.992, 2θ = 45.5°, I 100

Crystal structure
Lattice parameters (Å, degrees): 8.999 8.999 5.691 90.00 90.00 143.89
Element x y z (fractional)
Nd  0.195  0.805  0.750
Nd  0.805  0.195  0.250
In  0.101  0.899  0.250
In  0.899  0.101  0.750
Cu  0.400  0.600  0.250
Cu  0.600  0.400  0.750
Pt  0.256  0.744  0.250
Pt  0.261  0.261  0.000
Pt  0.261  0.261  0.500
Pt  0.739  0.739  0.000
Pt  0.739  0.739  0.500
Pt  0.744  0.256  0.750